Calculated powder XRD pattern
Compound: PmSm2Ni9
Radiation: CuKα
Structure: a DFT-relaxed cell (PBE, Alexandria)
No peak broadening, texture or thermal motion is included.

Top 8 peaks for 10 to 80 degrees two-theta, low angle first:
- 2θ = 32.76°, 2.734 Å, I = 45
- 2θ = 35.78°, 2.509 Å, I = 84
- 2θ = 41.75°, 2.164 Å, I = 36
- 2θ = 42.23°, 2.140 Å, I = 100
- 2θ = 44.18°, 2.050 Å, I = 21
- 2θ = 45.62°, 1.988 Å, I = 29
- 2θ = 68.74°, 1.366 Å, I = 20
- 2θ = 75.87°, 1.254 Å, I = 20

Crystal structure
```
data_PmSm2Ni9
_cell_length_a 8.703
_cell_length_b 8.703
_cell_length_c 8.703
_cell_angle_alpha 33.50
_cell_angle_beta 33.50
_cell_angle_gamma 33.50
_space_group_name_H-M_alt 'P 1'
_space_group_IT_number 1
_space_group_name_Hall 'P 1'
loop_
_atom_site_label
_atom_site_type_symbol
_atom_site_fract_x
_atom_site_fract_y
_atom_site_fract_z
Pm1 Pm 0.000 0.000 0.000
Sm1 Sm 0.139 0.139 0.139
Sm2 Sm 0.861 0.861 0.861
Ni1 Ni 0.082 0.581 0.581
Ni2 Ni 0.333 0.333 0.333
Ni3 Ni 0.419 0.419 0.918
Ni4 Ni 0.419 0.918 0.419
Ni5 Ni 0.500 0.500 0.500
Ni6 Ni 0.581 0.082 0.581
Ni7 Ni 0.581 0.581 0.082
Ni8 Ni 0.667 0.667 0.667
Ni9 Ni 0.918 0.419 0.419
```



Calculated powder XRD pattern
Compound: Pm2SmNi
Radiation: CuKα
Structure: a DFT-relaxed cell (PBE, Alexandria)
No peak broadening, texture or thermal motion is included.

Top 8 peaks for 10 to 80 degrees two-theta, low angle first:
- 2θ = 29.68°, 3.010 Å, I = 33
- 2θ = 30.81°, 2.902 Å, I = 88
- 2θ = 30.95°, 2.889 Å, I = 100
- 2θ = 33.92°, 2.643 Å, I = 76
- 2θ = 37.06°, 2.426 Å, I = 33
- 2θ = 37.51°, 2.398 Å, I = 28
- 2θ = 48.48°, 1.878 Å, I = 37
- 2θ = 58.63°, 1.575 Å, I = 40

Crystal structure
```
data_Pm2SmNi
_cell_length_a 6.307
_cell_length_b 6.307
_cell_length_c 9.879
_cell_angle_alpha 90.00
_cell_angle_beta 90.00
_cell_angle_gamma 145.34
_space_group_name_H-M_alt 'P 1'
_space_group_IT_number 1
_space_group_name_Hall 'P 1'
loop_
_atom_site_label
_atom_site_type_symbol
_atom_site_fract_x
_atom_site_fract_y
_atom_site_fract_z
Pm1 Pm 0.137 0.863 0.569
Pm2 Pm 0.137 0.863 0.931
Pm3 Pm 0.863 0.137 0.069
Pm4 Pm 0.863 0.137 0.431
Sm1 Sm 0.414 0.586 0.750
Sm2 Sm 0.586 0.414 0.250
Ni1 Ni 0.269 0.731 0.250
Ni2 Ni 0.731 0.269 0.750
```



Calculated powder XRD pattern
Compound: Pm2Ni4Sn3
Radiation: CuKα
Structure: a DFT-relaxed cell (PBE, Alexandria)
No peak broadening, texture or thermal motion is included.

Top 8 peaks for 10 to 80 degrees two-theta, low angle first:
- 2θ = 27.88°, 3.200 Å, I = 16
- 2θ = 34.02°, 2.635 Å, I = 100
- 2θ = 37.02°, 2.429 Å, I = 17
- 2θ = 39.25°, 2.295 Å, I = 60
- 2θ = 40.38°, 2.234 Å, I = 16
- 2θ = 42.55°, 2.125 Å, I = 18
- 2θ = 55.06°, 1.668 Å, I = 18
- 2θ = 71.59°, 1.318 Å, I = 19

Crystal structure
```
data_Pm2Ni4Sn3
_cell_length_a 8.596
_cell_length_b 8.596
_cell_length_c 6.976
_cell_angle_alpha 90.00
_cell_angle_beta 90.00
_cell_angle_gamma 138.46
_space_group_name_H-M_alt 'P 1'
_space_group_IT_number 1
_space_group_name_Hall 'P 1'
loop_
_atom_site_label
_atom_site_type_symbol
_atom_site_fract_x
_atom_site_fract_y
_atom_site_fract_z
Pm1 Pm 0.103 0.897 0.918
Pm2 Pm 0.397 0.603 0.418
Pm3 Pm 0.603 0.397 0.582
Pm4 Pm 0.897 0.103 0.082
Ni1 Ni 0.164 0.836 0.506
Ni2 Ni 0.176 0.324 0.750
Ni3 Ni 0.324 0.176 0.250
Ni4 Ni 0.336 0.664 0.006
Ni5 Ni 0.664 0.336 0.994
Ni6 Ni 0.676 0.824 0.750
Ni7 Ni 0.824 0.676 0.250
Ni8 Ni 0.836 0.164 0.494
Sn1 Sn 0.000 0.000 0.500
Sn2 Sn 0.011 0.489 0.750
Sn3 Sn 0.489 0.011 0.250
Sn4 Sn 0.500 0.500 0.000
Sn5 Sn 0.511 0.989 0.750
Sn6 Sn 0.989 0.511 0.250
```



Calculated powder XRD pattern
Compound: Pm3Ni2Sn4
Radiation: CuKα
Structure: a DFT-relaxed cell (PBE, Alexandria)
No peak broadening, texture or thermal motion is included.

Top 8 peaks for 10 to 80 degrees two-theta, low angle first:
- 2θ = 31.04°, 2.881 Å, I = 94
- 2θ = 31.35°, 2.853 Å, I = 100
- 2θ = 31.63°, 2.829 Å, I = 95
- 2θ = 31.92°, 2.804 Å, I = 82
- 2θ = 40.00°, 2.254 Å, I = 65
- 2θ = 40.42°, 2.232 Å, I = 74
- 2θ = 52.04°, 1.757 Å, I = 26
- 2θ = 57.49°, 1.603 Å, I = 23

Crystal structure
```
data_Pm3Ni2Sn4
_cell_length_a 6.147
_cell_length_b 6.147
_cell_length_c 8.696
_cell_angle_alpha 103.75
_cell_angle_beta 103.75
_cell_angle_gamma 43.03
_space_group_name_H-M_alt 'P 1'
_space_group_IT_number 1
_space_group_name_Hall 'P 1'
loop_
_atom_site_label
_atom_site_type_symbol
_atom_site_fract_x
_atom_site_fract_y
_atom_site_fract_z
Pm1 Pm 0.000 0.000 0.000
Pm2 Pm 0.373 0.373 0.311
Pm3 Pm 0.627 0.627 0.689
Ni1 Ni 0.298 0.298 0.609
Ni2 Ni 0.702 0.702 0.391
Sn1 Sn 0.091 0.091 0.391
Sn2 Sn 0.294 0.294 0.912
Sn3 Sn 0.706 0.706 0.088
Sn4 Sn 0.909 0.909 0.609
```



Calculated powder XRD pattern
Compound: PmNi9Sn2
Radiation: CuKα
Structure: a DFT-relaxed cell (PBE, Alexandria)
No peak broadening, texture or thermal motion is included.

Top 8 peaks for 10 to 80 degrees two-theta, low angle first:
- 2θ = 34.40°, 2.607 Å, I = 26
- 2θ = 35.84°, 2.506 Å, I = 20
- 2θ = 39.13°, 2.302 Å, I = 100
- 2θ = 42.91°, 2.107 Å, I = 24
- 2θ = 43.67°, 2.073 Å, I = 37
- 2θ = 44.37°, 2.042 Å, I = 74
- 2θ = 45.35°, 2.000 Å, I = 26
- 2θ = 67.64°, 1.385 Å, I = 19

Crystal structure
```
data_PmNi9Sn2
_cell_length_a 8.245
_cell_length_b 8.245
_cell_length_c 4.904
_cell_angle_alpha 90.00
_cell_angle_beta 90.00
_cell_angle_gamma 90.00
_space_group_name_H-M_alt 'P 1'
_space_group_IT_number 1
_space_group_name_Hall 'P 1'
loop_
_atom_site_label
_atom_site_type_symbol
_atom_site_fract_x
_atom_site_fract_y
_atom_site_fract_z
Pm1 Pm 0.000 0.000 0.000
Pm2 Pm 0.500 0.500 0.000
Ni1 Ni 0.000 0.500 0.500
Ni2 Ni 0.067 0.207 0.500
Ni3 Ni 0.173 0.673 0.246
Ni4 Ni 0.173 0.673 0.754
Ni5 Ni 0.207 0.933 0.500
Ni6 Ni 0.293 0.433 0.500
Ni7 Ni 0.327 0.173 0.246
Ni8 Ni 0.327 0.173 0.754
Ni9 Ni 0.433 0.707 0.500
Ni10 Ni 0.500 0.000 0.500
Ni11 Ni 0.567 0.293 0.500
Ni12 Ni 0.673 0.827 0.246
Ni13 Ni 0.673 0.827 0.754
Ni14 Ni 0.707 0.567 0.500
Ni15 Ni 0.793 0.067 0.500
Ni16 Ni 0.827 0.327 0.246
Ni17 Ni 0.827 0.327 0.754
Ni18 Ni 0.933 0.793 0.500
Sn1 Sn 0.128 0.372 0.000
Sn2 Sn 0.372 0.872 0.000
Sn3 Sn 0.628 0.128 0.000
Sn4 Sn 0.872 0.628 0.000
```



Calculated powder XRD pattern
Compound: PmNi2Sn7
Radiation: CuKα
Structure: a DFT-relaxed cell (PBE, Alexandria)
No peak broadening, texture or thermal motion is included.

Top 8 peaks for 10 to 80 degrees two-theta, low angle first:
- 2θ = 22.82°, 3.897 Å, I = 39
- 2θ = 28.40°, 3.143 Å, I = 59
- 2θ = 32.88°, 2.724 Å, I = 78
- 2θ = 33.85°, 2.648 Å, I = 100
- 2θ = 37.62°, 2.391 Å, I = 67
- 2θ = 38.93°, 2.314 Å, I = 58
- 2θ = 40.12°, 2.247 Å, I = 42
- 2θ = 52.52°, 1.742 Å, I = 59

Crystal structure
```
data_PmNi2Sn7
_cell_length_a 7.984
_cell_length_b 7.984
_cell_length_c 4.627
_cell_angle_alpha 90.00
_cell_angle_beta 90.00
_cell_angle_gamma 115.13
_space_group_name_H-M_alt 'P 1'
_space_group_IT_number 1
_space_group_name_Hall 'P 1'
loop_
_atom_site_label
_atom_site_type_symbol
_atom_site_fract_x
_atom_site_fract_y
_atom_site_fract_z
Pm1 Pm 0.000 0.000 0.000
Ni1 Ni 0.317 0.683 0.500
Ni2 Ni 0.683 0.317 0.500
Sn1 Sn 0.062 0.338 0.500
Sn2 Sn 0.245 0.755 0.000
Sn3 Sn 0.338 0.062 0.500
Sn4 Sn 0.500 0.500 0.500
Sn5 Sn 0.662 0.938 0.500
Sn6 Sn 0.755 0.245 0.000
Sn7 Sn 0.938 0.662 0.500
```



Calculated powder XRD pattern
Compound: Pm2NiSn3
Radiation: CuKα
Structure: a DFT-relaxed cell (PBE, Alexandria)
No peak broadening, texture or thermal motion is included.

Top 8 peaks for 10 to 80 degrees two-theta, low angle first:
- 2θ = 30.97°, 2.888 Å, I = 80
- 2θ = 32.50°, 2.755 Å, I = 100
- 2θ = 32.75°, 2.734 Å, I = 33
- 2θ = 33.19°, 2.699 Å, I = 29
- 2θ = 36.84°, 2.440 Å, I = 46
- 2θ = 37.86°, 2.376 Å, I = 30
- 2θ = 39.16°, 2.300 Å, I = 49
- 2θ = 69.40°, 1.354 Å, I = 31

Crystal structure
```
data_Pm2NiSn3
_cell_length_a 6.107
_cell_length_b 6.107
_cell_length_c 7.449
_cell_angle_alpha 126.77
_cell_angle_beta 126.77
_cell_angle_gamma 44.26
_space_group_name_H-M_alt 'P 1'
_space_group_IT_number 1
_space_group_name_Hall 'P 1'
loop_
_atom_site_label
_atom_site_type_symbol
_atom_site_fract_x
_atom_site_fract_y
_atom_site_fract_z
Pm1 Pm 0.000 0.000 0.000
Pm2 Pm 0.125 0.125 0.600
Ni1 Ni 0.379 0.379 0.545
Sn1 Sn 0.393 0.393 0.204
Sn2 Sn 0.664 0.664 0.923
Sn3 Sn 0.752 0.752 0.426
```



Calculated powder XRD pattern
Compound: Pm3Ni2Sn6
Radiation: CuKα
Structure: a DFT-relaxed cell (PBE, Alexandria)
No peak broadening, texture or thermal motion is included.

Top 8 peaks for 10 to 80 degrees two-theta, low angle first:
- 2θ = 29.55°, 3.023 Å, I = 29
- 2θ = 29.77°, 3.002 Å, I = 52
- 2θ = 34.47°, 2.602 Å, I = 100
- 2θ = 39.48°, 2.282 Å, I = 43
- 2θ = 41.67°, 2.168 Å, I = 71
- 2θ = 58.75°, 1.572 Å, I = 27
- 2θ = 64.42°, 1.446 Å, I = 25
- 2θ = 71.43°, 1.321 Å, I = 24

Crystal structure
```
data_Pm3Ni2Sn6
_cell_length_a 15.078
_cell_length_b 15.078
_cell_length_c 15.078
_cell_angle_alpha 163.47
_cell_angle_beta 163.47
_cell_angle_gamma 23.46
_space_group_name_H-M_alt 'P 1'
_space_group_IT_number 1
_space_group_name_Hall 'P 1'
loop_
_atom_site_label
_atom_site_type_symbol
_atom_site_fract_x
_atom_site_fract_y
_atom_site_fract_z
Pm1 Pm 0.000 0.000 0.000
Pm2 Pm 0.167 0.167 0.000
Pm3 Pm 0.833 0.833 0.000
Ni1 Ni 0.360 0.360 0.000
Ni2 Ni 0.640 0.640 0.000
Sn1 Sn 0.083 0.583 0.500
Sn2 Sn 0.274 0.274 0.000
Sn3 Sn 0.417 0.917 0.500
Sn4 Sn 0.583 0.083 0.500
Sn5 Sn 0.726 0.726 0.000
Sn6 Sn 0.917 0.417 0.500
```



Calculated powder XRD pattern
Compound: Pm2Ni5Sn4
Radiation: CuKα
Structure: a DFT-relaxed cell (PBE, Alexandria)
No peak broadening, texture or thermal motion is included.

Top 8 peaks for 10 to 80 degrees two-theta, low angle first:
- 2θ = 23.47°, 3.790 Å, I = 26
- 2θ = 31.24°, 2.863 Å, I = 25
- 2θ = 31.58°, 2.833 Å, I = 57
- 2θ = 35.85°, 2.505 Å, I = 100
- 2θ = 39.44°, 2.284 Å, I = 70
- 2θ = 43.30°, 2.089 Å, I = 32
- 2θ = 48.01°, 1.895 Å, I = 26
- 2θ = 52.87°, 1.732 Å, I = 26

Crystal structure
```
data_Pm2Ni5Sn4
_cell_length_a 9.085
_cell_length_b 8.103
_cell_length_c 5.767
_cell_angle_alpha 79.90
_cell_angle_beta 61.42
_cell_angle_gamma 38.68
_space_group_name_H-M_alt 'P 1'
_space_group_IT_number 1
_space_group_name_Hall 'P 1'
loop_
_atom_site_label
_atom_site_type_symbol
_atom_site_fract_x
_atom_site_fract_y
_atom_site_fract_z
Pm1 Pm 0.141 0.141 0.859
Pm2 Pm 0.859 0.859 0.141
Ni1 Ni 0.000 0.000 0.500
Ni2 Ni 0.250 0.250 0.250
Ni3 Ni 0.500 0.500 0.000
Ni4 Ni 0.500 0.500 0.500
Ni5 Ni 0.750 0.750 0.750
Sn1 Sn 0.214 0.528 0.472
Sn2 Sn 0.472 0.786 0.214
Sn3 Sn 0.528 0.214 0.786
Sn4 Sn 0.786 0.472 0.528
```



Calculated powder XRD pattern
Compound: Pm5Ni2Sn12
Radiation: CuKα
Structure: a DFT-relaxed cell (PBE, Alexandria)
No peak broadening, texture or thermal motion is included.

Top 8 peaks for 10 to 80 degrees two-theta, low angle first:
- 2θ = 23.74°, 3.748 Å, I = 56
- 2θ = 31.15°, 2.871 Å, I = 100
- 2θ = 32.06°, 2.791 Å, I = 99
- 2θ = 33.25°, 2.694 Å, I = 52
- 2θ = 33.88°, 2.646 Å, I = 81
- 2θ = 35.82°, 2.507 Å, I = 39
- 2θ = 37.69°, 2.387 Å, I = 43
- 2θ = 38.94°, 2.313 Å, I = 66

Crystal structure
```
data_Pm5Ni2Sn12
_cell_length_a 8.841
_cell_length_b 8.841
_cell_length_c 11.367
_cell_angle_alpha 122.00
_cell_angle_beta 122.00
_cell_angle_gamma 48.96
_space_group_name_H-M_alt 'P 1'
_space_group_IT_number 1
_space_group_name_Hall 'P 1'
loop_
_atom_site_label
_atom_site_type_symbol
_atom_site_fract_x
_atom_site_fract_y
_atom_site_fract_z
Pm1 Pm 0.000 0.000 0.000
Pm2 Pm 0.292 0.292 0.451
Pm3 Pm 0.386 0.386 0.029
Pm4 Pm 0.614 0.614 0.971
Pm5 Pm 0.708 0.708 0.549
Ni1 Ni 0.187 0.813 0.500
Ni2 Ni 0.813 0.187 0.500
Sn1 Sn 0.017 0.017 0.313
Sn2 Sn 0.027 0.601 0.233
Sn3 Sn 0.171 0.578 0.756
Sn4 Sn 0.399 0.973 0.767
Sn5 Sn 0.422 0.829 0.244
Sn6 Sn 0.472 0.472 0.352
Sn7 Sn 0.528 0.528 0.648
Sn8 Sn 0.578 0.171 0.756
Sn9 Sn 0.601 0.027 0.233
Sn10 Sn 0.829 0.422 0.244
Sn11 Sn 0.973 0.399 0.767
Sn12 Sn 0.983 0.983 0.687
```



Calculated powder XRD pattern
Compound: Pm2Ni3Sn5
Radiation: CuKα
Structure: a DFT-relaxed cell (PBE, Alexandria)
No peak broadening, texture or thermal motion is included.

Top 8 peaks for 10 to 80 degrees two-theta, low angle first:
- 2θ = 33.62°, 2.666 Å, I = 100
- 2θ = 36.29°, 2.476 Å, I = 17
- 2θ = 36.85°, 2.439 Å, I = 14
- 2θ = 39.77°, 2.267 Å, I = 14
- 2θ = 40.87°, 2.208 Å, I = 25
- 2θ = 55.81°, 1.647 Å, I = 13
- 2θ = 63.57°, 1.464 Å, I = 20
- 2θ = 69.80°, 1.347 Å, I = 12

Crystal structure
```
data_Pm2Ni3Sn5
_cell_length_a 13.357
_cell_length_b 13.357
_cell_length_c 7.242
_cell_angle_alpha 90.00
_cell_angle_beta 90.00
_cell_angle_gamma 160.97
_space_group_name_H-M_alt 'P 1'
_space_group_IT_number 1
_space_group_name_Hall 'P 1'
loop_
_atom_site_label
_atom_site_type_symbol
_atom_site_fract_x
_atom_site_fract_y
_atom_site_fract_z
Pm1 Pm 0.026 0.974 0.500
Pm2 Pm 0.327 0.673 0.493
Pm3 Pm 0.673 0.327 0.993
Pm4 Pm 0.974 0.026 0.000
Ni1 Ni 0.106 0.894 0.759
Ni2 Ni 0.278 0.722 0.973
Ni3 Ni 0.450 0.550 0.719
Ni4 Ni 0.550 0.450 0.219
Ni5 Ni 0.722 0.278 0.473
Ni6 Ni 0.894 0.106 0.259
Sn1 Sn 0.093 0.907 0.125
Sn2 Sn 0.203 0.797 0.690
Sn3 Sn 0.214 0.786 0.271
Sn4 Sn 0.379 0.621 0.997
Sn5 Sn 0.451 0.549 0.336
Sn6 Sn 0.549 0.451 0.836
Sn7 Sn 0.621 0.379 0.497
Sn8 Sn 0.786 0.214 0.771
Sn9 Sn 0.797 0.203 0.190
Sn10 Sn 0.907 0.093 0.625
```



Calculated powder XRD pattern
Compound: PmNiSn4
Radiation: CuKα
Structure: a DFT-relaxed cell (PBE, Alexandria)
No peak broadening, texture or thermal motion is included.

Top 8 peaks for 10 to 80 degrees two-theta, low angle first:
- 2θ = 29.70°, 3.008 Å, I = 32
- 2θ = 30.56°, 2.926 Å, I = 48
- 2θ = 32.17°, 2.782 Å, I = 100
- 2θ = 35.60°, 2.522 Å, I = 71
- 2θ = 39.77°, 2.267 Å, I = 47
- 2θ = 40.03°, 2.253 Å, I = 51
- 2θ = 40.64°, 2.220 Å, I = 49
- 2θ = 58.36°, 1.581 Å, I = 34

Crystal structure
```
data_PmNiSn4
_cell_length_a 14.796
_cell_length_b 14.796
_cell_length_c 4.505
_cell_angle_alpha 90.00
_cell_angle_beta 90.00
_cell_angle_gamma 162.74
_space_group_name_H-M_alt 'P 1'
_space_group_IT_number 1
_space_group_name_Hall 'P 1'
loop_
_atom_site_label
_atom_site_type_symbol
_atom_site_fract_x
_atom_site_fract_y
_atom_site_fract_z
Pm1 Pm 0.191 0.809 0.000
Pm2 Pm 0.809 0.191 0.000
Ni1 Ni 0.449 0.551 0.500
Ni2 Ni 0.551 0.449 0.500
Sn1 Sn 0.000 0.000 0.500
Sn2 Sn 0.107 0.893 0.500
Sn3 Sn 0.284 0.716 0.500
Sn4 Sn 0.394 0.606 0.000
Sn5 Sn 0.500 0.500 0.000
Sn6 Sn 0.606 0.394 0.000
Sn7 Sn 0.716 0.284 0.500
Sn8 Sn 0.893 0.107 0.500
```